# CrFeCoO4
Simulated powder diffractogram, Cu Kα (weighted mean of Kα1 and Kα2). Input: DFT lattice parameters and positions (GGA+U).

```
data_CrFeCoO4
_chemical_formula_sum 'Cr4 Fe4 Co4 O16'
_symmetry_space_group_name_H-M 'I m m a'
_symmetry_Int_Tables_number 74
_symmetry_space_group_name_Hall '-I 2b 2'
_cell_length_a 6.0340
_cell_length_b 6.0864
_cell_length_c 8.4751
_cell_angle_alpha 90.00
_cell_angle_beta 90.00
_cell_angle_gamma 90.00
loop_
_atom_site_label
_atom_site_type_symbol
_atom_site_fract_x
_atom_site_fract_y
_atom_site_fract_z
Cr1 Cr 0.0000 0.0000 0.0000
Fe1 Fe 0.0000 0.2500 0.3729
Co1 Co 0.2500 0.2500 0.7500
O1 O 0.0000 0.0056 0.7585
O2 O 0.2306 0.2500 0.9958
```

Top 6 peaks for 2θ = 15–90°, most intense first:
- hkl 2 2 4, d = 1.507 Å, 61.5°, rel. 100
- hkl 2 1 1, d = 2.575 Å, 34.8°, rel. 100
- hkl 0 1 3, d = 2.561 Å, 35.0°, rel. 87
- hkl 1 2 1, d = 2.587 Å, 34.7°, rel. 80
- hkl 1 1 2, d = 3.014 Å, 29.6°, rel. 60
- hkl 2 2 0, d = 2.143 Å, 42.2°, rel. 37

# CrFe3Co2P6O24
Simulated powder diffractogram, Cu Kα (weighted mean of Kα1 and Kα2). Input: DFT lattice parameters and positions (GGA+U).

```
data_CrFe3Co2P6O24
_chemical_formula_sum 'Cr3 Fe9 Co6 P18 O72'
_symmetry_space_group_name_H-M 'R 3'
_symmetry_Int_Tables_number 146
_symmetry_space_group_name_Hall 'R 3'
_cell_length_a 8.6449
_cell_length_b 8.6449
_cell_length_c 20.3214
_cell_angle_alpha 90.00
_cell_angle_beta 90.00
_cell_angle_gamma 120.00
loop_
_atom_site_label
_atom_site_type_symbol
_atom_site_fract_x
_atom_site_fract_y
_atom_site_fract_z
Cr1 Cr 0.0000 0.0000 0.0000
Fe1 Fe 0.0000 0.0000 0.2866
Fe2 Fe 0.0000 0.0000 0.4963
Fe3 Fe 0.0000 0.0000 0.7863
Co1 Co 0.0000 0.0000 0.1434
Co2 Co 0.0000 0.0000 0.6414
P1 P 0.9996 0.7022 0.3908
P2 P 0.0391 0.3717 0.5588
O1 O 0.0074 0.8039 0.4531
O2 O 0.0085 0.1992 0.9538
O3 O 0.0111 0.8341 0.0674
O4 O 0.0132 0.1801 0.5695
O5 O 0.1404 0.6781 0.9958
O6 O 0.1416 0.4637 0.4966
O7 O 0.1651 0.6765 0.3805
O8 O 0.1655 0.4859 0.8816
```

Top 6 peaks for 2θ = 15–90°, most intense first:
- hkl 2 -1 3, d = 3.644 Å, 24.4°, rel. 100
- hkl 1 1 0, d = 4.322 Å, 20.5°, rel. 90
- hkl 1 1 6, d = 2.666 Å, 33.6°, rel. 72
- hkl 3 0 0, d = 2.496 Å, 36.0°, rel. 42
- hkl 1 2 8, d = 1.890 Å, 48.1°, rel. 31
- hkl 2 2 6, d = 1.822 Å, 50.1°, rel. 28

# LaMgCrCoO6
Simulated powder diffractogram, Cu Kα (weighted mean of Kα1 and Kα2). Input: DFT lattice parameters and positions (GGA+U).

```
data_LaMgCrCoO6
_chemical_formula_sum 'La2 Mg2 Cr2 Co2 O12'
_symmetry_space_group_name_H-M 'P 1 c 1'
_symmetry_Int_Tables_number 7
_cell_length_a 5.3105
_cell_length_b 5.3756
_cell_length_c 9.3924
_cell_angle_alpha 90.00
_cell_angle_beta 124.01
_cell_angle_gamma 90.00
loop_
_symmetry_equiv_pos_as_xyz
'x,y,z'
'x,-y,z+1/2'
loop_
_atom_site_label
_atom_site_type_symbol
_atom_site_fract_x
_atom_site_fract_y
_atom_site_fract_z
La1 La 0.0000 0.2170 0.0000
Mg1 Mg 0.4839 0.3048 0.5024
Cr1 Cr 0.2386 0.2561 0.7487
Co1 Co 0.7369 0.2452 0.2459
O1 O 0.0189 0.4753 0.7928
O2 O 0.1371 0.0497 0.3062
O3 O 0.4148 0.4905 0.1897
O4 O 0.5087 0.0488 0.6915
O5 O 0.5672 0.3058 0.9922
O6 O 0.8752 0.2279 0.5011
```

Top 6 peaks for 2θ = 15–90°, most intense first:
- hkl 1 1 1, d = 2.718 Å, 33.0°, rel. 100
- hkl 1 1 -3, d = 2.704 Å, 33.1°, rel. 99
- hkl 0 1 1, d = 4.417 Å, 20.1°, rel. 95
- hkl 2 2 -2, d = 1.889 Å, 48.2°, rel. 53
- hkl 2 0 -2, d = 2.655 Å, 33.8°, rel. 45
- hkl 0 2 0, d = 2.688 Å, 33.3°, rel. 43

# La2MgCr2Co2O12
Simulated powder diffractogram, Cu Kα (weighted mean of Kα1 and Kα2). Input: DFT lattice parameters and positions (GGA+U).

```
data_La2MgCr2Co2O12
_chemical_formula_sum 'La2 Mg1 Cr2 Co2 O12'
_symmetry_space_group_name_H-M 'P 1'
_symmetry_Int_Tables_number 1
_cell_length_a 5.3821
_cell_length_b 6.4087
_cell_length_c 7.1390
_cell_angle_alpha 90.57
_cell_angle_beta 90.03
_cell_angle_gamma 94.79
loop_
_symmetry_equiv_pos_as_xyz
'x,y,z'
loop_
_atom_site_label
_atom_site_type_symbol
_atom_site_fract_x
_atom_site_fract_y
_atom_site_fract_z
La1 La 0.0000 0.0000 0.0000
La2 La 0.4723 0.2298 0.5014
Mg1 Mg 0.5041 0.4152 0.0220
Cr1 Cr 0.5213 0.7789 0.7330
Cr2 Cr 0.9908 0.4480 0.2447
Co1 Co 0.0304 0.4505 0.7548
Co2 Co 0.5698 0.7880 0.2661
O1 O 0.0340 0.3825 0.5015
O2 O 0.1352 0.6794 0.2096
O3 O 0.1909 0.7265 0.8028
O4 O 0.2290 0.2592 0.2032
O5 O 0.2781 0.2689 0.8160
O6 O 0.4194 0.8322 0.4952
O7 O 0.5985 0.7421 0.0118
O8 O 0.6561 0.4969 0.2958
O9 O 0.6640 0.5559 0.6946
O10 O 0.6940 0.0196 0.7470
O11 O 0.7152 0.0496 0.2599
O12 O 0.8686 0.3671 0.9965
```

Top 6 peaks for 2θ = 15–90°, most intense first:
- hkl 1 0 1, d = 4.287 Å, 20.7°, rel. 100
- hkl 1 -2 0, d = 2.850 Å, 31.4°, rel. 45
- hkl 2 0 0, d = 2.682 Å, 33.4°, rel. 39
- hkl 1 2 0, d = 2.648 Å, 33.9°, rel. 39
- hkl 1 -1 2, d = 2.751 Å, 32.6°, rel. 28
- hkl 0 1 -2, d = 3.129 Å, 28.5°, rel. 28

# Li4Mn2Cr3Co3O16
Simulated powder diffractogram, Cu Kα (weighted mean of Kα1 and Kα2). Input: DFT lattice parameters and positions (GGA+U).

```
data_Li4Mn2Cr3Co3O16
_chemical_formula_sum 'Li8 Mn4 Cr6 Co6 O32'
_symmetry_space_group_name_H-M 'C 1 m 1'
_symmetry_Int_Tables_number 8
_cell_length_a 9.9363
_cell_length_b 5.7740
_cell_length_c 9.2837
_cell_angle_alpha 90.00
_cell_angle_beta 90.16
_cell_angle_gamma 90.00
loop_
_symmetry_equiv_pos_as_xyz
'x,y,z'
'x,-y,z'
'x+1/2,y+1/2,z'
'x+1/2,-y+1/2,z'
loop_
_atom_site_label
_atom_site_type_symbol
_atom_site_fract_x
_atom_site_fract_y
_atom_site_fract_z
Li1 Li 0.0000 0.0000 0.0000
Li2 Li 0.0009 0.0000 0.4981
Li3 Li 0.1576 0.5000 0.9033
Li4 Li 0.3236 0.0000 0.3975
Mn1 Mn 0.1575 0.5000 0.4855
Mn2 Mn 0.3229 0.0000 0.9891
Cr1 Cr 0.3235 0.5000 0.2116
Cr2 Cr 0.4081 0.2441 0.7144
Co1 Co 0.0787 0.2554 0.2167
Co2 Co 0.1633 0.0000 0.7160
O1 O 0.0122 0.5000 0.3401
O2 O 0.0779 0.2492 0.6024
O3 O 0.1552 0.5000 0.1099
O4 O 0.1593 0.0000 0.1057
O5 O 0.2315 0.2824 0.3441
O6 O 0.2495 0.2173 0.8455
O7 O 0.3226 0.0000 0.6049
O8 O 0.3271 0.5000 0.6015
O9 O 0.4083 0.2539 0.1051
O10 O 0.4717 0.0000 0.8486
O11 O 0.4963 0.5000 0.3104
O12 O 0.4964 0.5000 0.8117
```

Top 6 peaks for 2θ = 15–90°, most intense first:
- hkl 2 0 -1, d = 4.395 Å, 20.2°, rel. 100
- hkl 0 0 2, d = 4.642 Å, 19.1°, rel. 71
- hkl 2 2 3, d = 1.943 Å, 46.8°, rel. 47
- hkl 2 2 -5, d = 1.490 Å, 62.3°, rel. 41
- hkl 2 2 -1, d = 2.411 Å, 37.3°, rel. 39
- hkl 0 2 2, d = 2.449 Å, 36.7°, rel. 39

# Li4Mn2Cr3Co3O16
Simulated powder diffractogram, Cu Kα (weighted mean of Kα1 and Kα2). Input: DFT lattice parameters and positions (GGA+U).

```
data_Li4Mn2Cr3Co3O16
_chemical_formula_sum 'Li4 Mn2 Cr3 Co3 O16'
_symmetry_space_group_name_H-M 'P 1'
_symmetry_Int_Tables_number 1
_cell_length_a 5.8305
_cell_length_b 5.8406
_cell_length_c 9.4226
_cell_angle_alpha 89.24
_cell_angle_beta 89.69
_cell_angle_gamma 60.48
loop_
_symmetry_equiv_pos_as_xyz
'x,y,z'
loop_
_atom_site_label
_atom_site_type_symbol
_atom_site_fract_x
_atom_site_fract_y
_atom_site_fract_z
Li1 Li 0.0000 0.0000 0.0000
Li2 Li 0.0028 0.9959 0.4989
Li3 Li 0.3296 0.3167 0.0988
Li4 Li 0.6619 0.6569 0.5938
Mn1 Mn 0.3269 0.3331 0.5108
Mn2 Mn 0.6645 0.6570 0.0107
Cr1 Cr 0.1653 0.6512 0.7824
Cr2 Cr 0.6554 0.1603 0.7818
Cr3 Cr 0.8259 0.8215 0.2807
Co1 Co 0.1650 0.1598 0.7827
Co2 Co 0.3320 0.8253 0.2826
Co3 Co 0.8236 0.3316 0.2823
O1 O 0.0376 0.4695 0.6477
O2 O 0.1563 0.1695 0.3882
O3 O 0.1664 0.6627 0.3969
O4 O 0.3263 0.3209 0.8886
O5 O 0.3329 0.8269 0.8973
O6 O 0.4732 0.0335 0.6463
O7 O 0.4755 0.4725 0.6503
O8 O 0.5160 0.9459 0.1491
O9 O 0.5269 0.5000 0.1536
O10 O 0.6654 0.6457 0.3859
O11 O 0.6708 0.1634 0.3943
O12 O 0.8321 0.3294 0.8951
O13 O 0.8328 0.8257 0.9019
O14 O 0.9545 0.5041 0.1549
O15 O 0.9923 0.0055 0.1882
O16 O 0.9989 0.9948 0.6876
```

Top 6 peaks for 2θ = 15–90°, most intense first:
- hkl 1 1 1, d = 4.463 Å, 19.9°, rel. 100
- hkl 0 0 2, d = 4.711 Å, 18.8°, rel. 84
- hkl 2 0 3, d = 1.974 Å, 46.0°, rel. 44
- hkl 0 2 -1, d = 2.448 Å, 36.7°, rel. 37
- hkl 2 0 2, d = 2.233 Å, 40.4°, rel. 27
- hkl 0 1 1, d = 4.496 Å, 19.7°, rel. 26